Record 1
CsGeTe2: theoretical X-ray diffraction stick pattern (Cu Kα (weighted mean of Kα1 and Kα2)), based on the PBE geometry in Alexandria.
Intensities are scaled so that the largest is 100.

Crystal structure
```
CsGeTe2
1.0
4.311 -6.503 0.000
4.311 6.503 0.000
-2.583 0.000 6.183
Cs Ge Te
2 2 4
Direct
0.129 0.871 0.750
0.871 0.129 0.250
0.498 0.502 0.250
0.502 0.498 0.750
0.187 0.429 0.900
0.429 0.187 0.400
0.571 0.813 0.600
0.813 0.571 0.100
```

Main lines, in order of rising 2θ (2θ = 15–90°):
Position (°2θ), I_rel
22.4, 65.3
25.5, 100.0
27.5, 48.6
29.7, 33.1
33.8, 38.2
39.8, 21.7
44.1, 19.8
49.1, 21.1

---

Record 2
Cs3GeTe4: theoretical X-ray diffraction stick pattern (Cu Kα (weighted mean of Kα1 and Kα2)), based on the PBE geometry in Alexandria.
Intensities are scaled so that the largest is 100.

Crystal structure
```
Cs3GeTe4
1.0
-3.411 7.800 3.876
3.411 -7.800 3.876
3.411 7.800 -3.876
Cs Ge Te
3 1 4
Direct
0.000 0.000 0.000
0.178 0.890 0.288
0.602 0.890 0.712
0.730 0.230 0.500
0.047 0.404 0.643
0.490 0.260 0.771
0.490 0.719 0.229
0.762 0.404 0.357
```

Main lines, in order of rising 2θ (2θ = 15–90°):
Position (°2θ), I_rel
20.7, 36.1
21.5, 100.0
22.9, 82.1
25.7, 35.7
28.8, 78.3
29.2, 86.0
31.6, 90.7
50.3, 64.5

---

Record 3
CsGeTe4: theoretical X-ray diffraction stick pattern (Cu Kα (weighted mean of Kα1 and Kα2)), based on the PBE geometry in Alexandria.
Intensities are scaled so that the largest is 100.

Crystal structure
```
CsGeTe4
1.0
7.437 0.000 0.000
3.490 7.875 0.000
0.001 3.229 8.668
Cs Ge Te
2 2 8
Direct
0.215 0.495 0.252
0.785 0.505 0.748
0.000 0.000 0.500
0.500 0.000 0.000
0.189 0.678 0.794
0.214 0.968 0.226
0.317 0.964 0.728
0.387 0.319 0.705
0.613 0.681 0.295
0.683 0.036 0.272
0.786 0.032 0.774
0.811 0.322 0.206
```

Main lines, in order of rising 2θ (2θ = 15–90°):
Position (°2θ), I_rel
20.5, 100.0
20.8, 28.6
21.3, 26.1
27.2, 30.0
31.2, 29.2
36.2, 28.9
37.0, 49.6
37.1, 23.0

---

Q: Which formula does entry 3 have?
A: CsGeTe4